No. 1
This entry pairs a crystal structure of KSr2CeSe4 with its calculated powder XRD pattern. Radiation: a wavelength of 1.5418 Å. Structure: the PBE geometry in Alexandria.

The 10 most intense peaks (10 to 90 degrees two-theta), by angle:
2theta  intensity
12.07  14
28.28  100
28.64  48
40.28  18
40.42  36
40.57  19
40.95  36
50.41  19
66.03  16
74.05  12

Structure:
```
data_KSr2CeSe4
_cell_length_a 7.613
_cell_length_b 4.448
_cell_length_c 7.741
_cell_angle_alpha 90.00
_cell_angle_beta 108.63
_cell_angle_gamma 90.00
_symmetry_space_group_name_H-M 'P 1'
_symmetry_Int_Tables_number 1
_symmetry_space_group_name_Hall 'P 1'
loop_
_atom_site_label
_atom_site_type_symbol
_atom_site_fract_x
_atom_site_fract_y
_atom_site_fract_z
_atom_site_occupancy
K1 K 0.000 0.000 0.000 1
Sr1 Sr 0.500 0.000 0.500 1
Sr2 Sr 0.500 0.500 0.000 1
Ce1 Ce 0.000 0.500 0.500 1
Se1 Se 0.242 0.000 0.735 1
Se2 Se 0.251 0.500 0.272 1
Se3 Se 0.749 0.500 0.728 1
Se4 Se 0.758 0.000 0.265 1
```

No. 2
This entry pairs a crystal structure of Pu2BiO11 with its calculated powder XRD pattern. Radiation: a wavelength of 1.5418 Å. Structure: the PBE geometry in Alexandria.

The 10 most intense peaks (10 to 90 degrees two-theta), by angle:
2theta  intensity
13.55  36
16.52  27
21.40  46
23.67  100
27.10  63
27.30  72
43.65  40
44.04  41
50.07  27
67.10  22

Structure:
```
data_Pu2BiO11
_cell_length_a 8.596
_cell_length_b 8.596
_cell_length_c 8.596
_cell_angle_alpha 102.73
_cell_angle_beta 104.44
_cell_angle_gamma 122.03
_symmetry_space_group_name_H-M 'P 1'
_symmetry_Int_Tables_number 1
_symmetry_space_group_name_Hall 'P 1'
loop_
_atom_site_label
_atom_site_type_symbol
_atom_site_fract_x
_atom_site_fract_y
_atom_site_fract_z
_atom_site_occupancy
Pu1 Pu 0.230 0.726 0.004 1
Pu2 Pu 0.237 0.250 0.487 1
Pu3 Pu 0.722 0.226 0.996 1
Pu4 Pu 0.763 0.750 0.513 1
Bi1 Bi 0.733 0.233 0.500 1
Bi2 Bi 0.733 0.733 0.000 1
O1 O 0.034 0.470 0.064 1
O2 O 0.043 0.533 0.764 1
O3 O 0.043 0.780 0.010 1
O4 O 0.048 0.045 0.259 1
O5 O 0.048 0.289 0.503 1
O6 O 0.128 0.006 0.622 1
O7 O 0.292 0.055 0.737 1
O8 O 0.318 0.555 0.263 1
O9 O 0.384 0.506 0.378 1
O10 O 0.406 0.970 0.936 1
O11 O 0.417 0.672 0.999 1
O12 O 0.417 0.918 0.245 1
O13 O 0.429 0.213 0.471 1
O14 O 0.429 0.458 0.716 1
O15 O 0.673 0.172 0.755 1
O16 O 0.673 0.418 0.001 1
O17 O 0.742 0.713 0.284 1
O18 O 0.742 0.958 0.529 1
O19 O 0.770 0.033 0.990 1
O20 O 0.770 0.280 0.236 1
O21 O 0.785 0.545 0.497 1
O22 O 0.785 0.789 0.741 1
```

No. 3
This entry pairs a crystal structure of HfCo2P with its calculated powder XRD pattern. Radiation: a wavelength of 1.5418 Å. Structure: the PBE geometry in Alexandria.

The 10 most intense peaks (10 to 90 degrees two-theta), by angle:
2theta  intensity
27.98  18
35.73  22
36.24  38
39.09  17
39.39  100
41.42  21
41.67  97
45.29  23
59.12  18
72.94  22

Structure:
```
data_HfCo2P
_cell_length_a 13.152
_cell_length_b 6.378
_cell_length_c 4.921
_cell_angle_alpha 90.00
_cell_angle_beta 90.00
_cell_angle_gamma 90.00
_symmetry_space_group_name_H-M 'P 1'
_symmetry_Int_Tables_number 1
_symmetry_space_group_name_Hall 'P 1'
loop_
_atom_site_label
_atom_site_type_symbol
_atom_site_fract_x
_atom_site_fract_y
_atom_site_fract_z
_atom_site_occupancy
Hf1 Hf 0.111 0.250 0.240 1
Hf2 Hf 0.136 0.750 0.016 1
Hf3 Hf 0.364 0.250 0.516 1
Hf4 Hf 0.389 0.750 0.740 1
Hf5 Hf 0.611 0.250 0.260 1
Hf6 Hf 0.636 0.750 0.484 1
Hf7 Hf 0.864 0.250 0.984 1
Hf8 Hf 0.889 0.750 0.760 1
Co1 Co 0.036 0.051 0.746 1
Co2 Co 0.036 0.449 0.746 1
Co3 Co 0.214 0.553 0.531 1
Co4 Co 0.214 0.947 0.531 1
Co5 Co 0.286 0.053 0.031 1
Co6 Co 0.286 0.447 0.031 1
Co7 Co 0.464 0.551 0.246 1
Co8 Co 0.464 0.949 0.246 1
Co9 Co 0.536 0.051 0.754 1
Co10 Co 0.536 0.449 0.754 1
Co11 Co 0.714 0.553 0.969 1
Co12 Co 0.714 0.947 0.969 1
Co13 Co 0.786 0.053 0.469 1
Co14 Co 0.786 0.447 0.469 1
Co15 Co 0.964 0.551 0.254 1
Co16 Co 0.964 0.949 0.254 1
P1 P 0.069 0.750 0.517 1
P2 P 0.183 0.250 0.751 1
P3 P 0.317 0.750 0.251 1
P4 P 0.431 0.250 0.017 1
P5 P 0.569 0.750 0.983 1
P6 P 0.683 0.250 0.749 1
P7 P 0.817 0.750 0.249 1
P8 P 0.931 0.250 0.483 1
```

No. 4
This entry pairs a crystal structure of Li5F4 with its calculated powder XRD pattern. Radiation: a wavelength of 1.5418 Å. Structure: the PBE geometry in Alexandria.

The 10 most intense peaks (10 to 90 degrees two-theta), by angle:
2theta  intensity
18.92  39
26.31  36
26.88  14
37.97  84
43.12  100
46.09  39
62.62  26
64.94  46
75.63  10
81.18  20

Structure:
```
data_Li5F4
_cell_length_a 5.088
_cell_length_b 5.088
_cell_length_c 5.088
_cell_angle_alpha 98.62
_cell_angle_beta 98.62
_cell_angle_gamma 134.45
_symmetry_space_group_name_H-M 'P 1'
_symmetry_Int_Tables_number 1
_symmetry_space_group_name_Hall 'P 1'
loop_
_atom_site_label
_atom_site_type_symbol
_atom_site_fract_x
_atom_site_fract_y
_atom_site_fract_z
_atom_site_occupancy
Li1 Li 0.000 0.000 0.000 1
Li2 Li 0.191 0.391 0.581 1
Li3 Li 0.391 0.809 0.200 1
Li4 Li 0.609 0.191 0.800 1
Li5 Li 0.809 0.609 0.419 1
F1 F 0.098 0.700 0.799 1
F2 F 0.300 0.098 0.398 1
F3 F 0.700 0.902 0.602 1
F4 F 0.902 0.300 0.201 1
```

No. 5
This entry pairs a crystal structure of TbPrSc3 with its calculated powder XRD pattern. Radiation: a wavelength of 1.5418 Å. Structure: the PBE geometry in Alexandria.

The 10 most intense peaks (10 to 90 degrees two-theta), by angle:
2theta  intensity
16.53  43
23.74  35
24.54  36
26.78  76
31.62  93
32.14  69
33.02  63
33.62  100
35.44  25
48.59  40

Structure:
```
data_TbPrSc3
_cell_length_a 8.579
_cell_length_b 8.579
_cell_length_c 8.171
_cell_angle_alpha 94.45
_cell_angle_beta 94.45
_cell_angle_gamma 77.35
_symmetry_space_group_name_H-M 'P 1'
_symmetry_Int_Tables_number 1
_symmetry_space_group_name_Hall 'P 1'
loop_
_atom_site_label
_atom_site_type_symbol
_atom_site_fract_x
_atom_site_fract_y
_atom_site_fract_z
_atom_site_occupancy
Tb1 Tb 0.008 0.992 0.750 1
Tb2 Tb 0.393 0.607 0.250 1
Tb3 Tb 0.607 0.393 0.750 1
Tb4 Tb 0.992 0.008 0.250 1
Pr1 Pr 0.267 0.291 0.384 1
Pr2 Pr 0.291 0.267 0.884 1
Pr3 Pr 0.709 0.733 0.116 1
Pr4 Pr 0.733 0.709 0.616 1
Sc1 Sc 0.009 0.628 0.340 1
Sc2 Sc 0.062 0.659 0.957 1
Sc3 Sc 0.234 0.608 0.626 1
Sc4 Sc 0.341 0.938 0.543 1
Sc5 Sc 0.372 0.991 0.160 1
Sc6 Sc 0.392 0.766 0.874 1
Sc7 Sc 0.608 0.234 0.126 1
Sc8 Sc 0.628 0.009 0.840 1
Sc9 Sc 0.659 0.062 0.457 1
Sc10 Sc 0.766 0.392 0.374 1
Sc11 Sc 0.938 0.341 0.043 1
Sc12 Sc 0.991 0.372 0.660 1
```

No. 6
This entry pairs a crystal structure of BaNiAs2Ru with its calculated powder XRD pattern. Radiation: a wavelength of 1.5418 Å. Structure: the PBE geometry in Alexandria.

The 10 most intense peaks (10 to 90 degrees two-theta), by angle:
2theta  intensity
13.55  15
30.26  100
34.43  61
41.20  13
42.15  15
45.15  44
52.97  44
55.32  36
65.76  14
89.27  20

Structure:
```
data_BaNiAs2Ru
_cell_length_a 7.126
_cell_length_b 7.126
_cell_length_c 7.126
_cell_angle_alpha 147.26
_cell_angle_beta 147.26
_cell_angle_gamma 46.98
_symmetry_space_group_name_H-M 'P 1'
_symmetry_Int_Tables_number 1
_symmetry_space_group_name_Hall 'P 1'
loop_
_atom_site_label
_atom_site_type_symbol
_atom_site_fract_x
_atom_site_fract_y
_atom_site_fract_z
_atom_site_occupancy
Ba1 Ba 0.000 0.000 0.000 1
Ni1 Ni 0.750 0.250 0.500 1
As1 As 0.353 0.353 0.000 1
As2 As 0.647 0.647 0.000 1
Ru1 Ru 0.250 0.750 0.500 1
```

No. 7
This entry pairs a crystal structure of K3BrClF with its calculated powder XRD pattern. Radiation: a wavelength of 1.5418 Å. Structure: the PBE geometry in Alexandria.

The 10 most intense peaks (10 to 90 degrees two-theta), by angle:
2theta  intensity
22.37  28
25.18  31
25.71  32
26.06  43
27.23  100
31.28  35
31.54  49
32.12  58
39.15  37
40.80  41

Structure:
```
data_K3BrClF
_cell_length_a 7.564
_cell_length_b 4.423
_cell_length_c 11.024
_cell_angle_alpha 90.00
_cell_angle_beta 102.17
_cell_angle_gamma 90.00
_symmetry_space_group_name_H-M 'P 1'
_symmetry_Int_Tables_number 1
_symmetry_space_group_name_Hall 'P 1'
loop_
_atom_site_label
_atom_site_type_symbol
_atom_site_fract_x
_atom_site_fract_y
_atom_site_fract_z
_atom_site_occupancy
K1 K 0.041 0.250 0.176 1
K2 K 0.204 0.250 0.526 1
K3 K 0.432 0.750 0.818 1
K4 K 0.568 0.250 0.182 1
K5 K 0.796 0.750 0.474 1
K6 K 0.959 0.750 0.824 1
Br1 Br 0.349 0.750 0.323 1
Br2 Br 0.651 0.250 0.677 1
Cl1 Cl 0.238 0.250 0.947 1
Cl2 Cl 0.762 0.750 0.053 1
F1 F 0.126 0.750 0.637 1
F2 F 0.874 0.250 0.363 1
```

No. 8
This entry pairs a crystal structure of DyCoRu with its calculated powder XRD pattern. Radiation: a wavelength of 1.5418 Å. Structure: the PBE geometry in Alexandria.

The 10 most intense peaks (10 to 90 degrees two-theta), by angle:
2theta  intensity
34.39  53
34.77  20
40.35  52
40.85  100
42.52  16
42.65  15
61.39  11
65.27  12
66.43  14
72.50  24

Structure:
```
data_DyCoRu
_cell_length_a 5.216
_cell_length_b 5.216
_cell_length_c 5.216
_cell_angle_alpha 120.70
_cell_angle_beta 120.42
_cell_angle_gamma 89.04
_symmetry_space_group_name_H-M 'P 1'
_symmetry_Int_Tables_number 1
_symmetry_space_group_name_Hall 'P 1'
loop_
_atom_site_label
_atom_site_type_symbol
_atom_site_fract_x
_atom_site_fract_y
_atom_site_fract_z
_atom_site_occupancy
Dy1 Dy 0.376 0.126 0.250 1
Dy2 Dy 0.624 0.874 0.750 1
Co1 Co 0.000 0.000 0.500 1
Co2 Co 0.000 0.500 0.000 1
Ru1 Ru 0.000 0.500 0.500 1
Ru2 Ru 0.500 0.500 0.000 1
```